(1)
Starting from a PBE-relaxed structure, the X-ray diffraction stick pattern of K6InP3 was computed for Cu Kα, 1.54184 Å.

Cell and atoms:
```
data_K6InP3
_chemical_formula_sum 'K12 In2 P6'
_cell_length_a 8.9880
_cell_length_b 8.9959
_cell_length_c 9.9959
_cell_angle_alpha 81.84
_cell_angle_beta 72.92
_cell_angle_gamma 60.49
_symmetry_space_group_name_H-M 'P 1'
_symmetry_Int_Tables_number 1
loop_
_symmetry_equiv_pos_as_xyz
'x,y,z'
loop_
_atom_site_label
_atom_site_type_symbol
_atom_site_fract_x
_atom_site_fract_y
_atom_site_fract_z
_atom_site_occupancy
K1 K 0.0000 0.0000 0.0000 1
K2 K 0.0074 0.3528 0.7164 1
K3 K 0.1506 0.6478 0.5179 1
K4 K 0.3270 0.5815 0.1652 1
K5 K 0.3782 0.7617 0.7110 1
K6 K 0.4833 0.0855 0.4937 1
K7 K 0.5029 0.1182 0.1212 1
K8 K 0.6227 0.7238 0.9719 1
K9 K 0.7208 0.3929 0.4819 1
K10 K 0.7736 0.0136 0.7181 1
K11 K 0.8643 0.7072 0.2648 1
K12 K 0.9928 0.3368 0.1029 1
In1 In 0.1709 0.0347 0.3601 1
In2 In 0.3374 0.3834 0.8513 1
P1 P 0.0402 0.6578 0.8769 1
P2 P 0.1405 0.3351 0.3683 1
P3 P 0.3487 0.0931 0.8491 1
P4 P 0.4668 0.7664 0.3472 1
P5 P 0.6161 0.3863 0.8650 1
P6 P 0.9052 0.0097 0.3500 1
```

Largest 12 diffraction maxima, most intense first, 5 to 70 degrees two-theta:
index, 2theta, I_rel
0 3 0, 34.38, 100
1 1 1, 12.98, 75
-1 1 2, 29.41, 72
0 1 -3, 30.28, 65
2 1 -2, 31.84, 63
0 1 -1, 14.62, 63
3 3 1, 34.64, 62
1 0 0, 11.72, 57
0 0 2, 18.57, 43
1 1 3, 27.47, 38
1 2 3, 32.03, 38
2 1 -1, 25.09, 34



(2)
Starting from a PBE-relaxed structure, the X-ray diffraction stick pattern of KPaInSe4 was computed for Cu Kα, 1.54184 Å.

Cell and atoms:
```
data_KPaInSe4
_chemical_formula_sum 'K4 Pa4 In4 Se16'
_cell_length_a 8.7336
_cell_length_b 9.8980
_cell_length_c 10.3868
_cell_angle_alpha 90.00
_cell_angle_beta 90.00
_cell_angle_gamma 90.00
_symmetry_space_group_name_H-M 'I m m a'
_symmetry_Int_Tables_number 74
_symmetry_space_group_name_Hall '-I 2b 2'
loop_
_atom_site_label
_atom_site_type_symbol
_atom_site_fract_x
_atom_site_fract_y
_atom_site_fract_z
_atom_site_occupancy
K1 K 0.0000 0.2500 0.1881 1
Pa1 Pa 0.2500 0.2500 0.7500 1
In1 In 0.0000 0.0000 0.5000 1
Se1 Se 0.0000 0.0701 0.7778 1
Se2 Se 0.1983 0.2500 0.4894 1
```

Largest 12 diffraction maxima, most intense first, 5 to 70 degrees two-theta:
index, 2theta, I_rel
2 2 0, 27.25, 100
0 1 1, 12.35, 96
2 2 4, 44.55, 56
2 3 1, 35.17, 46
0 0 4, 34.54, 28
2 1 1, 23.86, 26
2 3 3, 43.17, 25
1 0 1, 13.25, 23
1 0 3, 27.72, 21
0 4 0, 36.30, 17
0 2 0, 17.92, 16
4 0 0, 41.35, 15



(3)
Starting from a PBE-relaxed structure, the X-ray diffraction stick pattern of KPaIn2Te4 was computed for Cu Kα, 1.54184 Å.

Cell and atoms:
```
data_KPaIn2Te4
_chemical_formula_sum 'K4 Pa4 In8 Te16'
_cell_length_a 9.0986
_cell_length_b 9.1990
_cell_length_c 13.8466
_cell_angle_alpha 90.00
_cell_angle_beta 90.00
_cell_angle_gamma 90.00
_symmetry_space_group_name_H-M 'F 2 2 2'
_symmetry_Int_Tables_number 22
_symmetry_space_group_name_Hall 'F 2 2'
loop_
_atom_site_label
_atom_site_type_symbol
_atom_site_fract_x
_atom_site_fract_y
_atom_site_fract_z
_atom_site_occupancy
K1 K 0.0000 0.0000 0.0000 1
Pa1 Pa 0.2500 0.2500 0.2500 1
In1 In 0.0000 0.0000 0.5000 1
In2 In 0.2500 0.2500 0.7500 1
Te1 Te 0.0000 0.0000 0.2593 1
Te2 Te 0.2500 0.2500 0.0386 1
```

Largest 12 diffraction maxima, most intense first, 5 to 70 degrees two-theta:
index, 2theta, I_rel
2 2 0, 27.58, 100
2 2 4, 38.08, 66
0 0 4, 25.74, 47
1 1 1, 15.12, 29
0 4 0, 39.17, 20
4 0 0, 39.62, 19
0 4 4, 47.46, 18
4 0 4, 47.85, 17
1 1 5, 35.25, 15
4 4 4, 63.49, 15
4 4 0, 56.94, 13
0 0 2, 12.79, 13



(4)
Starting from a PBE-relaxed structure, the X-ray diffraction stick pattern of K3Pa3InTe8 was computed for Cu Kα, 1.54184 Å.

Cell and atoms:
```
data_K3Pa3InTe8
_chemical_formula_sum 'K9 Pa9 In3 Te24'
_cell_length_a 9.1409
_cell_length_b 9.1409
_cell_length_c 24.4382
_cell_angle_alpha 90.00
_cell_angle_beta 90.00
_cell_angle_gamma 120.00
_symmetry_space_group_name_H-M 'R -3 m'
_symmetry_Int_Tables_number 166
_symmetry_space_group_name_Hall '-R 3 2"'
loop_
_atom_site_label
_atom_site_type_symbol
_atom_site_fract_x
_atom_site_fract_y
_atom_site_fract_z
_atom_site_occupancy
K1 K 0.0000 0.5000 0.0000 1
Pa1 Pa 0.0000 0.5000 0.5000 1
In1 In 0.0000 0.0000 0.5000 1
Te1 Te 0.0000 0.0000 0.2378 1
Te2 Te 0.0217 0.5109 0.7643 1
```

Largest 12 diffraction maxima, most intense first, 5 to 70 degrees two-theta:
index, 2theta, I_rel
0 2 4, 26.84, 100
0 0 3, 10.86, 64
2 2 0, 39.43, 37
2 0 8, 37.18, 35
0 2 7, 34.25, 24
4 0 4, 48.34, 19
2 2 3, 41.02, 16
2 4 4, 64.08, 16
0 2 1, 22.76, 15
2 0 11, 46.90, 14
2 2 12, 60.94, 12
0 4 8, 55.31, 11



(5)
Starting from a PBE-relaxed structure, the X-ray diffraction stick pattern of K2PaInTe5 was computed for Cu Kα, 1.54184 Å.

Cell and atoms:
```
data_K2PaInTe5
_chemical_formula_sum 'K8 Pa4 In4 Te20'
_cell_length_a 4.5312
_cell_length_b 20.8018
_cell_length_c 15.0375
_cell_angle_alpha 90.00
_cell_angle_beta 90.00
_cell_angle_gamma 90.00
_symmetry_space_group_name_H-M 'C m c 21'
_symmetry_Int_Tables_number 36
loop_
_symmetry_equiv_pos_as_xyz
'x,y,z'
'-x,-y,z+1/2'
'-x,y,z'
'x,-y,z+1/2'
'x+1/2,y+1/2,z'
'-x+1/2,-y+1/2,z+1/2'
'-x+1/2,y+1/2,z'
'x+1/2,-y+1/2,z+1/2'
loop_
_atom_site_label
_atom_site_type_symbol
_atom_site_fract_x
_atom_site_fract_y
_atom_site_fract_z
_atom_site_occupancy
K1 K 0.0000 0.1149 0.0000 1
K2 K 0.0000 0.1204 0.6444 1
Pa1 Pa 0.0000 0.2088 0.3439 1
In1 In 0.0000 0.4393 0.7447 1
Te1 Te 0.0000 0.0579 0.3656 1
Te2 Te 0.0000 0.2955 0.9763 1
Te3 Te 0.0000 0.3003 0.7039 1
Te4 Te 0.0000 0.3453 0.3249 1
Te5 Te 0.0000 0.4994 0.5854 1
```

Largest 12 diffraction maxima, most intense first, 5 to 70 degrees two-theta:
index, 2theta, I_rel
1 1 3, 26.87, 100
0 6 1, 26.38, 62
1 7 4, 43.66, 47
0 2 1, 10.34, 46
0 0 2, 11.77, 40
0 0 8, 48.38, 28
0 2 2, 14.54, 28
1 1 5, 36.11, 27
1 5 2, 31.53, 26
2 0 0, 39.79, 25
1 1 2, 23.32, 19
0 2 0, 8.50, 15



(6)
Starting from a PBE-relaxed structure, the X-ray diffraction stick pattern of K4InPb4 was computed for Cu Kα, 1.54184 Å.

Cell and atoms:
```
data_K4InPb4
_chemical_formula_sum 'K8 In2 Pb8'
_cell_length_a 6.8618
_cell_length_b 6.8743
_cell_length_c 15.2389
_cell_angle_alpha 90.00
_cell_angle_beta 90.00
_cell_angle_gamma 90.00
_symmetry_space_group_name_H-M 'I 2 2 2'
_symmetry_Int_Tables_number 23
loop_
_symmetry_equiv_pos_as_xyz
'x,y,z'
'-x,-y,z'
'x,-y,-z'
'-x,y,-z'
'x+1/2,y+1/2,z+1/2'
'-x+1/2,-y+1/2,z+1/2'
'x+1/2,-y+1/2,-z+1/2'
'-x+1/2,y+1/2,-z+1/2'
loop_
_atom_site_label
_atom_site_type_symbol
_atom_site_fract_x
_atom_site_fract_y
_atom_site_fract_z
_atom_site_occupancy
K1 K 0.2267 0.2259 0.3233 1
In1 In 0.0000 0.0000 0.5000 1
Pb1 Pb 0.1909 0.1900 0.0614 1
```

Largest 12 diffraction maxima, most intense first, 5 to 70 degrees two-theta:
index, 2theta, I_rel
0 0 2, 11.61, 100
1 1 4, 29.81, 100
1 2 3, 34.11, 50
1 1 2, 21.70, 47
2 1 1, 29.67, 40
2 0 0, 25.95, 38
0 3 1, 39.82, 36
1 4 3, 58.29, 26
1 2 5, 41.75, 22
2 2 0, 37.02, 18
1 3 4, 48.17, 18
2 0 8, 55.14, 17